Structure and computed X-ray diffraction stick pattern of MnAgO4 (DFT lattice parameters and positions (PBE+U); Cu Kα (λ = 1.5418 Å)).
Intensities are scaled so that the largest is 100.

Largest 10 diffraction maxima, sorted by position, 2θ = 10–90°:
2θ = 16.58°, I = 21, hkl 0 1 1
2θ = 18.41°, I = 22, hkl 1 0 1
2θ = 22.22°, I = 38, hkl 0 0 2
2θ = 29.57°, I = 49, hkl 2 0 0
2θ = 31.04°, I = 100, hkl 1 2 1
2θ = 36.84°, I = 26, hkl 1 0 3
2θ = 44.90°, I = 15, hkl 1 2 3
2θ = 45.32°, I = 21, hkl 0 0 4
2θ = 53.42°, I = 16, hkl 3 2 1
2θ = 61.28°, I = 21, hkl 2 2 4

Crystal structure
```
data_MnAgO4
_chemical_formula_sum 'Mn4 Ag4 O16'
_space_group_name_H-M_alt 'I m m a'
_space_group_IT_number 74
_space_group_name_Hall '-I 2b 2'
_cell_length_a 6.0365
_cell_length_b 7.1901
_cell_length_c 8.0011
_cell_angle_alpha 90.00
_cell_angle_beta 90.00
_cell_angle_gamma 90.00
loop_
_atom_site_label
_atom_site_type_symbol
_atom_site_fract_x
_atom_site_fract_y
_atom_site_fract_z
Mn1 Mn 0.0000 0.2500 0.1049
Ag1 Ag 0.0000 0.0000 0.5000
O1 O 0.0000 0.0661 0.2237
O2 O 0.2264 0.2500 0.9905
```


Structure and computed X-ray diffraction stick pattern of MnAgPO4 (DFT lattice parameters and positions (PBE+U); Cu Kα (λ = 1.5418 Å)).
Intensities are scaled so that the largest is 100.

Largest 10 diffraction maxima, sorted by position, 2θ = 10–90°:
2θ = 13.90°, I = 20, hkl 0 1 0
2θ = 28.53°, I = 35, hkl 0 0 3
2θ = 30.11°, I = 98, hkl 0 2 2
2θ = 30.49°, I = 40, hkl 1 0 3
2θ = 31.07°, I = 100, hkl 2 0 0
2θ = 31.64°, I = 24, hkl 0 2 -1
2θ = 33.89°, I = 38, hkl 1 2 -1
2θ = 34.54°, I = 34, hkl 1 0 -3
2θ = 37.90°, I = 21, hkl -2 1 1
2θ = 49.14°, I = 26, hkl -2 2 2

Crystal structure
```
data_MnAgPO4
_chemical_formula_sum 'Mn4 Ag4 P4 O16'
_space_group_name_H-M_alt 'P -1'
_space_group_IT_number 2
_space_group_name_Hall '-P 1'
_cell_length_a 5.9405
_cell_length_b 6.6813
_cell_length_c 9.8147
_cell_angle_alpha 75.12
_cell_angle_beta 79.16
_cell_angle_gamma 78.36
loop_
_atom_site_label
_atom_site_type_symbol
_atom_site_fract_x
_atom_site_fract_y
_atom_site_fract_z
Mn1 Mn 0.1575 0.0682 0.2105
Mn2 Mn 0.2811 0.1713 0.5658
Ag1 Ag 0.1954 0.3851 0.8675
Ag2 Ag 0.3193 0.5289 0.2332
P1 P 0.1855 0.7133 0.5294
P2 P 0.3095 0.8571 0.9051
O1 O 0.0620 0.2149 0.3922
O2 O 0.1295 0.7234 0.8898
O3 O 0.1527 0.7662 0.3674
O4 O 0.2625 0.0749 0.7981
O5 O 0.2648 0.4787 0.5856
O6 O 0.2762 0.8822 0.0592
O7 O 0.3629 0.8437 0.5476
O8 O 0.4359 0.2506 0.1362
```


Structure and computed X-ray diffraction stick pattern of Pa2MnAgO8 (DFT lattice parameters and positions (PBE+U); Cu Kα (λ = 1.5418 Å)).
Intensities are scaled so that the largest is 100.

Largest 10 diffraction maxima, sorted by position, 2θ = 10–90°:
2θ = 19.02°, I = 61, hkl 0 0 1
2θ = 25.01°, I = 16, hkl 1 0 1
2θ = 28.04°, I = 100, hkl 1 1 0
2θ = 34.11°, I = 70, hkl 2 -1 1
2θ = 48.38°, I = 58, hkl 2 -1 2
2θ = 49.63°, I = 31, hkl 3 0 0
2θ = 53.62°, I = 25, hkl 3 0 1
2θ = 61.59°, I = 14, hkl 2 2 1
2θ = 64.58°, I = 19, hkl 3 0 2
2θ = 71.83°, I = 17, hkl 2 2 2

Crystal structure
```
data_Pa2MnAgO8
_chemical_formula_sum 'Pa2 Mn1 Ag1 O8'
_space_group_name_H-M_alt 'P -3 1 m'
_space_group_IT_number 162
_space_group_name_Hall '-P 3 2'
_cell_length_a 6.3633
_cell_length_b 6.3633
_cell_length_c 4.6656
_cell_angle_alpha 90.00
_cell_angle_beta 90.00
_cell_angle_gamma 120.00
loop_
_atom_site_label
_atom_site_type_symbol
_atom_site_fract_x
_atom_site_fract_y
_atom_site_fract_z
Pa1 Pa 0.3333 0.6667 0.0000
Mn1 Mn 0.0000 0.0000 0.5000
Ag1 Ag 0.0000 0.0000 0.0000
O1 O 0.0000 0.3253 0.1847
O2 O 0.3333 0.6667 0.5000
```